Entry 1:
Starting from a cell relaxed with PBE, the powder XRD pattern of HoBeCu4 was calculated for Cu Kα.

Main lines, in order of rising 2θ (10 to 90 degrees two-theta):
2theta	Rel. int.
30.82	100
35.74	23
41.51	61
42.85	92
46.68	25
61.18	27
64.22	36
69.12	21
75.72	19
83.95	24

Structural model:
Cell lengths 5.024, 5.024, 3.892 Å; angles 90.00, 90.00, 120.00 degrees
Atoms (fractional coordinates):
Ho: 0.000 0.000 0.000
Be: 0.333 0.667 0.000
Cu: 0.008 0.504 0.500
Cu: 0.496 0.504 0.500
Cu: 0.496 0.992 0.500
Cu: 0.667 0.333 0.000

=====

Entry 2:
Starting from a cell relaxed with PBE, the powder XRD pattern of Be2CuIr was calculated for Cu Kα.

Main lines, in order of rising 2θ (10 to 90 degrees two-theta):
2theta	Rel. int.
28.09	45
32.55	100
46.70	88
55.39	22
58.08	26
68.18	14
75.30	10
77.61	32
86.71	30

Structural model:
Cell lengths 5.501, 5.501, 5.501 Å; angles 90.00, 90.00, 90.00 degrees
Atoms (fractional coordinates):
Be: 0.250 0.250 0.250
Be: 0.250 0.250 0.750
Be: 0.250 0.750 0.250
Be: 0.250 0.750 0.750
Be: 0.750 0.250 0.250
Be: 0.750 0.250 0.750
Be: 0.750 0.750 0.250
Be: 0.750 0.750 0.750
Cu: 0.000 0.000 0.000
Cu: 0.000 0.500 0.500
Cu: 0.500 0.000 0.500
Cu: 0.500 0.500 0.000
Ir: 0.000 0.000 0.500
Ir: 0.000 0.500 0.000
Ir: 0.500 0.000 0.000
Ir: 0.500 0.500 0.500

=====

Entry 3:
Starting from a cell relaxed with PBE, the powder XRD pattern of LaBeCu12 was calculated for Cu Kα.

Main lines, in order of rising 2θ (10 to 90 degrees two-theta):
2theta	Rel. int.
26.98	20
35.06	71
38.53	48
46.96	100
47.67	11
50.42	12
58.11	21
67.47	18
75.70	11
79.95	10

Structural model:
Cell lengths 8.094, 8.094, 8.094 Å; angles 60.00, 60.00, 60.00 degrees
Atoms (fractional coordinates):
La: 0.250 0.250 0.250
La: 0.750 0.750 0.750
Be: 0.000 0.000 0.000
Be: 0.500 0.500 0.500
Cu: 0.061 0.292 0.708
Cu: 0.061 0.708 0.939
Cu: 0.061 0.939 0.292
Cu: 0.208 0.439 0.792
Cu: 0.208 0.561 0.439
Cu: 0.208 0.792 0.561
Cu: 0.292 0.061 0.939
Cu: 0.292 0.708 0.061
Cu: 0.292 0.939 0.708
Cu: 0.439 0.208 0.561
Cu: 0.439 0.561 0.792
Cu: 0.439 0.792 0.208
Cu: 0.561 0.208 0.792
Cu: 0.561 0.439 0.208
Cu: 0.561 0.792 0.439
Cu: 0.708 0.061 0.292
Cu: 0.708 0.292 0.939
Cu: 0.708 0.939 0.061
Cu: 0.792 0.208 0.439
Cu: 0.792 0.439 0.561
Cu: 0.792 0.561 0.208
Cu: 0.939 0.061 0.708
Cu: 0.939 0.292 0.061
Cu: 0.939 0.708 0.292

=====

Entry 4:
Starting from a cell relaxed with PBE, the powder XRD pattern of Be15Nb6Cu8 was calculated for Cu Kα.

Main lines, in order of rising 2θ (10 to 90 degrees two-theta):
2theta	Rel. int.
16.36	41
27.29	21
28.53	50
36.13	94
40.79	26
43.38	100
47.46	80
71.22	23
74.25	19
76.05	22

Structural model:
Cell lengths 7.663, 7.663, 7.663 Å; angles 60.00, 60.00, 60.00 degrees
Atoms (fractional coordinates):
Be: 0.000 0.000 0.000
Be: 0.000 0.000 0.500
Be: 0.000 0.500 0.000
Be: 0.000 0.500 0.500
Be: 0.020 0.327 0.327
Be: 0.327 0.020 0.327
Be: 0.327 0.327 0.020
Be: 0.327 0.327 0.327
Be: 0.500 0.000 0.000
Be: 0.500 0.000 0.500
Be: 0.500 0.500 0.000
Be: 0.673 0.673 0.673
Be: 0.673 0.673 0.980
Be: 0.673 0.980 0.673
Be: 0.980 0.673 0.673
Nb: 0.307 0.307 0.693
Nb: 0.307 0.693 0.307
Nb: 0.307 0.693 0.693
Nb: 0.693 0.307 0.307
Nb: 0.693 0.307 0.693
Nb: 0.693 0.693 0.307
Cu: 0.123 0.123 0.123
Cu: 0.123 0.123 0.632
Cu: 0.123 0.632 0.123
Cu: 0.368 0.877 0.877
Cu: 0.632 0.123 0.123
Cu: 0.877 0.368 0.877
Cu: 0.877 0.877 0.368
Cu: 0.877 0.877 0.877

=====

Entry 5:
Starting from a cell relaxed with PBE, the powder XRD pattern of Be2CuPd was calculated for Cu Kα.

Main lines, in order of rising 2θ (10 to 90 degrees two-theta):
2theta	Rel. int.
11.62	100
13.43	36
19.03	16
22.36	22
23.36	20
24.10	26
30.89	14
31.64	13
35.36	13
41.51	13

Structural model:
Cell lengths 8.445, 9.328, 13.187 Å; angles 90.00, 90.00, 90.00 degrees
Atoms (fractional coordinates):
Be: 0.247 0.000 0.000
Be: 0.253 0.500 0.500
Be: 0.747 0.500 0.500
Be: 0.753 0.000 0.000
Cu: 0.000 0.500 0.500
Cu: 0.500 0.000 0.000
Pd: 0.000 0.000 0.000
Pd: 0.500 0.500 0.500

=====

Entry 6:
Starting from a cell relaxed with PBE, the powder XRD pattern of Be2CuPt was calculated for Cu Kα.

Main lines, in order of rising 2θ (10 to 90 degrees two-theta):
2theta	Rel. int.
27.77	46
32.18	100
46.15	89
54.72	23
57.37	26
67.32	14
74.31	10
76.59	33
85.51	30

Structural model:
Cell lengths 5.564, 5.564, 5.564 Å; angles 90.00, 90.00, 90.00 degrees
Atoms (fractional coordinates):
Be: 0.250 0.250 0.250
Be: 0.250 0.250 0.750
Be: 0.250 0.750 0.250
Be: 0.250 0.750 0.750
Be: 0.750 0.250 0.250
Be: 0.750 0.250 0.750
Be: 0.750 0.750 0.250
Be: 0.750 0.750 0.750
Cu: 0.000 0.000 0.000
Cu: 0.000 0.500 0.500
Cu: 0.500 0.000 0.500
Cu: 0.500 0.500 0.000
Pt: 0.000 0.000 0.500
Pt: 0.000 0.500 0.000
Pt: 0.500 0.000 0.000
Pt: 0.500 0.500 0.500

=====

- Which formula does entry 3 have?
  LaBeCu12

=====

Please write out number 3 again, unchanged.
Starting from a cell relaxed with PBE, the powder XRD pattern of LaBeCu12 was calculated for Cu Kα.

Main lines, in order of rising 2θ (10 to 90 degrees two-theta):
2theta	Rel. int.
26.98	20
35.06	71
38.53	48
46.96	100
47.67	11
50.42	12
58.11	21
67.47	18
75.70	11
79.95	10

Structural model:
Cell lengths 8.094, 8.094, 8.094 Å; angles 60.00, 60.00, 60.00 degrees
Atoms (fractional coordinates):
La: 0.250 0.250 0.250
La: 0.750 0.750 0.750
Be: 0.000 0.000 0.000
Be: 0.500 0.500 0.500
Cu: 0.061 0.292 0.708
Cu: 0.061 0.708 0.939
Cu: 0.061 0.939 0.292
Cu: 0.208 0.439 0.792
Cu: 0.208 0.561 0.439
Cu: 0.208 0.792 0.561
Cu: 0.292 0.061 0.939
Cu: 0.292 0.708 0.061
Cu: 0.292 0.939 0.708
Cu: 0.439 0.208 0.561
Cu: 0.439 0.561 0.792
Cu: 0.439 0.792 0.208
Cu: 0.561 0.208 0.792
Cu: 0.561 0.439 0.208
Cu: 0.561 0.792 0.439
Cu: 0.708 0.061 0.292
Cu: 0.708 0.292 0.939
Cu: 0.708 0.939 0.061
Cu: 0.792 0.208 0.439
Cu: 0.792 0.439 0.561
Cu: 0.792 0.561 0.208
Cu: 0.939 0.061 0.708
Cu: 0.939 0.292 0.061
Cu: 0.939 0.708 0.292